[1]
This entry pairs a crystal structure of PrS3N3O9 with its computed powder diffractogram. Radiation: Cu Kα. Structure: a PBE-relaxed structure.

Structural model:
```
data_PrS3N3O9
_space_group_name_H-M_alt 'P 63/m'
_space_group_IT_number 176
_space_group_name_Hall '-P 6c'
_cell_length_a 9.9638
_cell_length_b 9.9638
_cell_length_c 5.8985
_cell_angle_alpha 90.00
_cell_angle_beta 90.00
_cell_angle_gamma 120.00
loop_
_atom_site_label
_atom_site_type_symbol
_atom_site_fract_x
_atom_site_fract_y
_atom_site_fract_z
_atom_site_occupancy
Pr1 Pr 0.3333 0.6667 0.2500 1
S1 S 0.0860 0.6863 0.7500 1
N1 N 0.1262 0.2707 0.7500 1
O1 O 0.0835 0.3925 0.2500 1
O2 O 0.1504 0.6585 0.5434 1
```

Principal peaks in the range 2θ from 10° to 90°, low angle first:
- 2θ 10.3, d = 8.629 Å, intensity 100, hkl 1 0 0
- 2θ 17.8, d = 4.982 Å, intensity 17, hkl 1 1 0
- 2θ 18.2, d = 4.870 Å, intensity 35, hkl 1 0 1
- 2θ 23.4, d = 3.806 Å, intensity 38, hkl 1 1 1
- 2θ 25.6, d = 3.482 Å, intensity 69, hkl 2 0 1
- 2θ 27.3, d = 3.261 Å, intensity 16, hkl 1 2 0
- 2θ 31.1, d = 2.876 Å, intensity 16, hkl 3 0 0
- 2θ 31.3, d = 2.854 Å, intensity 47, hkl 1 2 1
- 2θ 40.7, d = 2.218 Å, intensity 19, hkl 3 1 1
- 2θ 44.0, d = 2.059 Å, intensity 23, hkl 3 0 2
- 2θ 48.3, d = 1.883 Å, intensity 15, hkl 1 4 0
- 2θ 48.5, d = 1.877 Å, intensity 19, hkl 3 2 1


[2]
This entry pairs a crystal structure of Cd3Ga2N4 with its computed powder diffractogram. Radiation: Cu Kα. Structure: a PBE-relaxed structure.

Structural model:
```
data_Cd3Ga2N4
_space_group_name_H-M_alt 'C 1 2/c 1'
_space_group_IT_number 15
_cell_length_a 9.617
_cell_length_b 9.606
_cell_length_c 5.628
_cell_angle_alpha 90.00
_cell_angle_beta 96.01
_cell_angle_gamma 90.00
loop_
_space_group_symop_operation_xyz
'x,y,z'
'-x,-y,-z'
'-x,y,-z+1/2'
'x,-y,z+1/2'
'x+1/2,y+1/2,z'
'-x+1/2,-y+1/2,-z'
'-x+1/2,y+1/2,-z+1/2'
'x+1/2,-y+1/2,z+1/2'
loop_
_atom_site_label
_atom_site_type_symbol
_atom_site_fract_x
_atom_site_fract_y
_atom_site_fract_z
_atom_site_occupancy
Cd1 Cd 0.000 0.124 0.250 1
Cd2 Cd 0.112 0.347 0.574 1
Ga1 Ga 0.219 0.114 0.889 1
N1 N 0.111 0.283 0.988 1
N2 N 0.191 0.068 0.540 1
```

Principal peaks in the range 2θ from 10° to 90°, low angle first:
- 2θ 24.4, d = 3.645 Å, intensity 14, hkl 0 2 1
- 2θ 31.9, d = 2.808 Å, intensity 100, hkl 2 2 1
- 2θ 32.2, d = 2.780 Å, intensity 61, hkl 3 1 -1
- 2θ 33.7, d = 2.657 Å, intensity 42, hkl 1 1 -2
- 2θ 37.4, d = 2.402 Å, intensity 31, hkl 0 4 0
- 2θ 42.0, d = 2.151 Å, intensity 19, hkl 3 3 -1
- 2θ 43.2, d = 2.093 Å, intensity 34, hkl 1 3 -2
- 2θ 48.5, d = 1.876 Å, intensity 17, hkl 5 1 0
- 2θ 56.0, d = 1.642 Å, intensity 13, hkl 5 3 0
- 2θ 57.5, d = 1.602 Å, intensity 15, hkl 3 5 -1
- 2θ 62.9, d = 1.477 Å, intensity 17, hkl 4 2 -3
- 2θ 64.1, d = 1.453 Å, intensity 17, hkl 6 0 -2


[3]
This entry pairs a crystal structure of NaMg14Zn with its computed powder diffractogram. Radiation: Cu Kα. Structure: a PBE-relaxed structure.

Structural model:
```
data_NaMg14Zn
_space_group_name_H-M_alt 'A m m 2'
_space_group_IT_number 38
_cell_length_a 10.349
_cell_length_b 6.392
_cell_length_c 11.068
_cell_angle_alpha 90.00
_cell_angle_beta 90.00
_cell_angle_gamma 90.00
loop_
_space_group_symop_operation_xyz
'x,y,z'
'-x,-y,z'
'-x,y,z'
'x,-y,z'
'x,y+1/2,z+1/2'
'-x,-y+1/2,z+1/2'
'-x,y+1/2,z+1/2'
'x,-y+1/2,z+1/2'
loop_
_atom_site_label
_atom_site_type_symbol
_atom_site_fract_x
_atom_site_fract_y
_atom_site_fract_z
_atom_site_occupancy
Na1 Na 0.000 0.000 0.000 1
Mg1 Mg 0.000 0.247 0.249 1
Mg2 Mg 0.246 0.000 0.665 1
Mg3 Mg 0.250 0.246 0.417 1
Mg4 Mg 0.253 0.000 0.167 1
Mg5 Mg 0.500 0.000 0.499 1
Mg6 Mg 0.500 0.000 0.999 1
Mg7 Mg 0.500 0.250 0.250 1
Zn1 Zn 0.000 0.000 0.498 1
```

Principal peaks in the range 2θ from 10° to 90°, low angle first:
- 2θ 16.0, d = 5.535 Å, intensity 6, hkl 0 1 1
- 2θ 18.2, d = 4.881 Å, intensity 8, hkl 1 1 1
- 2θ 23.5, d = 3.780 Å, intensity 4, hkl 2 1 1
- 2θ 32.3, d = 2.767 Å, intensity 25, hkl 0 0 4
- 2θ 34.7, d = 2.587 Å, intensity 26, hkl 4 0 0
- 2θ 36.8, d = 2.440 Å, intensity 100, hkl 2 2 2
- 2θ 48.1, d = 1.890 Å, intensity 15, hkl 4 0 4
- 2θ 57.7, d = 1.598 Å, intensity 17, hkl 0 4 0
- 2θ 63.6, d = 1.464 Å, intensity 19, hkl 6 2 2
- 2θ 69.1, d = 1.359 Å, intensity 19, hkl 4 4 0
- 2θ 70.4, d = 1.337 Å, intensity 13, hkl 2 0 8
- 2θ 78.4, d = 1.220 Å, intensity 3, hkl 4 4 4